# 1
This entry pairs a crystal structure of LaPaPd with its calculated powder diffractogram. Radiation: Cu Kα, 1.54184 Å. Structure: a structure optimized by DFT (GGA-PBE).
Peak positions follow from Bragg's law for the DFT cell and can differ from measured ones.

Structure:
Cell: 7.741 12.059 3.411 Å, 90.00 90.00 90.00°
Positions (direct):
La1 0.177 0.101 0.000
La2 0.323 0.601 0.500
La3 0.677 0.399 0.500
La4 0.823 0.899 0.000
Pa1 0.060 0.398 0.000
Pa2 0.440 0.898 0.500
Pa3 0.560 0.102 0.500
Pa4 0.940 0.602 0.000
Pd1 0.182 0.807 0.000
Pd2 0.318 0.307 0.500
Pd3 0.682 0.693 0.500
Pd4 0.818 0.193 0.000

Principal peaks in the range 10° ≤ 2θ ≤ 80°, by angle:
two_theta, d/Å, Rel. int.
13.59, 6.514, 577
28.60, 3.121, 1000
29.63, 3.015, 396
32.10, 2.788, 611
35.58, 2.523, 280
35.87, 2.503, 561
36.44, 2.465, 618
41.64, 2.169, 464

# 2
This entry pairs a crystal structure of SmDy2ErHg4 with its calculated powder diffractogram. Radiation: Cu Kα, 1.54184 Å. Structure: a structure optimized by DFT (GGA-PBE).
Peak positions follow from Bragg's law for the DFT cell and can differ from measured ones.

Structure:
Cell: 9.164 9.164 9.164 Å, 33.45 33.45 33.45°
Positions (direct):
Sm1 0.000 0.000 0.000
Dy1 0.249 0.249 0.249
Dy2 0.751 0.751 0.751
Er1 0.500 0.500 0.500
Hg1 0.126 0.126 0.126
Hg2 0.377 0.377 0.377
Hg3 0.623 0.623 0.623
Hg4 0.874 0.874 0.874

Principal peaks in the range 10° ≤ 2θ ≤ 80°, by angle:
two_theta, d/Å, Rel. int.
23.83, 3.734, 15
33.95, 2.640, 1000
48.78, 1.867, 182
60.63, 1.527, 95
60.80, 1.523, 285
71.36, 1.322, 59
71.55, 1.319, 59

# 3
This entry pairs a crystal structure of CaAg4Au8 with its calculated powder diffractogram. Radiation: Cu Kα, 1.54184 Å. Structure: a structure optimized by DFT (GGA-PBE).
Peak positions follow from Bragg's law for the DFT cell and can differ from measured ones.

Structure:
Cell: 7.302 7.302 7.302 Å, 98.42 98.42 135.00°
Positions (direct):
Ca1 0.000 0.000 0.000
Ag1 0.000 0.000 0.500
Ag2 0.000 0.500 0.000
Ag3 0.500 0.000 0.000
Ag4 0.500 0.500 0.500
Au1 0.000 0.347 0.347
Au2 0.000 0.653 0.653
Au3 0.285 0.500 0.785
Au4 0.347 0.000 0.347
Au5 0.500 0.285 0.785
Au6 0.500 0.715 0.215
Au7 0.653 0.000 0.653
Au8 0.715 0.500 0.215

Principal peaks in the range 10° ≤ 2θ ≤ 80°, by angle:
two_theta, d/Å, Rel. int.
32.03, 2.794, 320
32.39, 2.764, 403
37.29, 2.411, 387
37.61, 2.392, 965
37.71, 2.385, 455
41.99, 2.152, 865
42.31, 2.136, 1000
68.02, 1.378, 266

# 4
This entry pairs a crystal structure of Al3Ir5 with its calculated powder diffractogram. Radiation: Cu Kα, 1.54184 Å. Structure: a structure optimized by DFT (GGA-PBE).
Peak positions follow from Bragg's law for the DFT cell and can differ from measured ones.

Structure:
Cell: 6.966 8.115 4.013 Å, 90.00 90.00 90.00°
Positions (direct):
Al1 0.000 0.000 0.000
Al2 0.000 0.274 0.500
Al3 0.000 0.726 0.500
Al4 0.500 0.226 0.500
Al5 0.500 0.500 0.000
Al6 0.500 0.774 0.500
Ir1 0.000 0.500 0.000
Ir2 0.221 0.000 0.500
Ir3 0.250 0.250 0.000
Ir4 0.250 0.750 0.000
Ir5 0.279 0.500 0.500
Ir6 0.500 0.000 0.000
Ir7 0.721 0.500 0.500
Ir8 0.750 0.250 0.000
Ir9 0.750 0.750 0.000
Ir10 0.779 0.000 0.500

Principal peaks in the range 10° ≤ 2θ ≤ 80°, by angle:
two_theta, d/Å, Rel. int.
25.58, 3.483, 179
27.91, 3.196, 135
31.35, 2.853, 243
40.89, 2.207, 1000
44.67, 2.029, 202
45.19, 2.007, 199
52.58, 1.741, 158
79.72, 1.203, 141

# 5
This entry pairs a crystal structure of Sr2Ta2S7 with its calculated powder diffractogram. Radiation: Cu Kα, 1.54184 Å. Structure: a structure optimized by DFT (GGA-PBE).
Peak positions follow from Bragg's law for the DFT cell and can differ from measured ones.

Structure:
Cell: 6.195 6.195 6.713 Å, 90.00 90.00 100.31°
Positions (direct):
Sr1 0.233 0.233 0.000
Sr2 0.767 0.767 0.000
Ta1 0.283 0.717 0.500
Ta2 0.717 0.283 0.500
S1 0.000 0.000 0.500
S2 0.000 0.500 0.265
S3 0.000 0.500 0.735
S4 0.500 0.000 0.265
S5 0.500 0.000 0.735
S6 0.500 0.500 0.291
S7 0.500 0.500 0.709

Principal peaks in the range 10° ≤ 2θ ≤ 80°, by angle:
two_theta, d/Å, Rel. int.
13.19, 6.713, 450
22.91, 3.881, 908
26.08, 3.417, 1000
26.56, 3.357, 203
37.83, 2.378, 243
39.96, 2.256, 844
46.56, 1.951, 459
51.74, 1.767, 194

# 6
This entry pairs a crystal structure of CaTc2N4 with its calculated powder diffractogram. Radiation: Cu Kα, 1.54184 Å. Structure: a structure optimized by DFT (GGA-PBE).
Peak positions follow from Bragg's law for the DFT cell and can differ from measured ones.

Structure:
Cell: 5.197 5.197 9.849 Å, 90.00 90.00 144.02°
Positions (direct):
Ca1 0.124 0.876 0.750
Ca2 0.876 0.124 0.250
Tc1 0.384 0.616 0.562
Tc2 0.384 0.616 0.938
Tc3 0.616 0.384 0.062
Tc4 0.616 0.384 0.438
N1 0.000 0.000 0.000
N2 0.000 0.000 0.500
N3 0.257 0.743 0.101
N4 0.257 0.743 0.399
N5 0.427 0.573 0.750
N6 0.573 0.427 0.250
N7 0.743 0.257 0.601
N8 0.743 0.257 0.899

Principal peaks in the range 10° ≤ 2θ ≤ 80°, by angle:
two_theta, d/Å, Rel. int.
18.01, 4.925, 602
29.25, 3.054, 425
32.75, 2.735, 1000
34.56, 2.595, 470
36.35, 2.472, 336
40.29, 2.239, 455
43.43, 2.084, 323
62.02, 1.496, 297